Structure and calculated powder diffraction line list of KHCS2N (a GGA-PBE-relaxed structure; Cu Kα, 1.54184 Å).
Intensities are scaled so that the largest is 100.

Structure:
```
KHCS2N
1.0
13.0805 0.0000 0.0000
0.0000 6.7444 0.0000
0.0000 0.0000 10.9706
K H C S N
8 8 8 16 8
Cartesian
1.8489 1.3860 0.5983 K
1.8489 5.3583 6.0836 K
4.6914 1.9862 6.0836 K
4.6914 4.7582 0.5983 K
8.3892 1.9862 10.3722 K
8.3892 4.7582 4.8870 K
11.2317 1.3860 4.8870 K
11.2317 5.3583 10.3722 K
0.3176 3.2500 9.5868 H
0.3176 3.4944 4.1016 H
6.2227 0.1222 4.1016 H
6.2227 6.6221 9.5868 H
6.8578 0.1222 1.3837 H
6.8578 6.6221 6.8690 H
12.7630 3.2500 6.8690 H
12.7630 3.4944 1.3837 H
1.2547 1.9262 7.1706 C
1.2547 4.8182 1.6853 C
5.2855 1.4460 1.6853 C
5.2855 5.2984 7.1706 C
7.7950 1.4460 3.8000 C
7.7950 5.2984 9.2852 C
11.8258 1.9262 9.2852 C
11.8258 4.8182 3.8000 C
1.5303 1.9216 5.4650 S
1.5303 4.8228 10.9503 S
2.1537 1.0018 8.2579 S
2.1537 5.7426 2.7726 S
4.3865 2.3704 2.7726 S
4.3865 4.3739 8.2579 S
5.0100 1.4506 10.9503 S
5.0100 5.2938 5.4650 S
8.0705 1.4506 5.5056 S
8.0705 5.2938 0.0203 S
8.6940 2.3704 2.7127 S
8.6940 4.3739 8.1980 S
10.9268 1.0018 8.1980 S
10.9268 5.7426 2.7127 S
11.5503 1.9216 0.0203 S
11.5503 4.8228 5.5056 S
0.2500 2.7687 7.5848 N
0.2500 3.9757 2.0995 N
6.2903 0.6035 2.0995 N
6.2903 6.1408 7.5848 N
6.7903 0.6035 3.3858 N
6.7903 6.1408 8.8710 N
12.8306 2.7687 8.8710 N
12.8306 3.9757 3.3858 N
```

Peak list (10 most intense, 2θ from 10° to 90°, low angle first)
| index | d/Å | two_theta | I_rel |
| --- | --- | --- | --- |
| 1 1 1 | 5.260 | 16.85 | 83 |
| 1 0 2 | 5.059 | 17.53 | 55 |
| 3 1 0 | 3.662 | 24.31 | 53 |
| 0 2 0 | 3.372 | 26.43 | 87 |
| 4 0 0 | 3.270 | 27.27 | 92 |
| 1 1 3 | 3.125 | 28.57 | 100 |
| 0 2 2 | 2.873 | 31.13 | 43 |
| 4 0 2 | 2.808 | 31.87 | 58 |
| 3 1 3 | 2.588 | 34.66 | 94 |
| 4 2 0 | 2.348 | 38.34 | 62 |